Structure and theoretical X-ray diffraction stick pattern of Mn4CrO8 (DFT lattice parameters and positions (PBE+U); Cu Kα, 1.54184 Å).
Lines closer than 0.1° are merged.

The 10 most intense peaks (2θ = 15–90°), sorted by position:
17.24 deg, I 100.0
18.25 deg, I 14.1
34.87 deg, I 13.2
35.67 deg, I 15.4
36.98 deg, I 14.0
41.34 deg, I 33.1
42.60 deg, I 61.6
55.25 deg, I 11.3
59.85 deg, I 16.1
61.85 deg, I 17.1

```
data_Mn4CrO8
_chemical_formula_sum 'Mn4 Cr1 O8'
_symmetry_space_group_name_H-M 'P 1'
_symmetry_Int_Tables_number 1
_cell_length_a 6.003
_cell_length_b 6.003
_cell_length_c 6.172
_cell_angle_alpha 118.85
_cell_angle_beta 118.85
_cell_angle_gamma 58.34
loop_
_symmetry_equiv_pos_as_xyz
'x,y,z'
loop_
_atom_site_label
_atom_site_type_symbol
_atom_site_fract_x
_atom_site_fract_y
_atom_site_fract_z
_atom_site_occupancy
Mn1 Mn 0.000 0.000 0.000 1
Mn2 Mn 0.000 0.500 0.000 1
Mn3 Mn 0.500 0.000 0.000 1
Mn4 Mn 0.500 0.500 0.500 1
Cr1 Cr 0.500 0.500 0.000 1
O1 O 0.224 0.722 0.196 1
O2 O 0.257 0.257 0.215 1
O3 O 0.268 0.268 0.811 1
O4 O 0.278 0.776 0.804 1
O5 O 0.722 0.224 0.196 1
O6 O 0.732 0.732 0.189 1
O7 O 0.743 0.743 0.785 1
O8 O 0.776 0.278 0.804 1
```